No. 1
Computed powder diffraction line list
Compound: TiMnN2
Radiation: Cu Kα, 1.54184 Å
Structure: a crystal structure in the Materials Project, relaxed with GGA-PBE
No peak broadening, texture or thermal motion is included.

Structural model:
Unit cell a=5.9957 b=4.1240 c=7.1073 alpha=90.00 beta=90.00 gamma=90.00
Atoms (fractional coordinates):
Ti (0.0897, 0.2500, 0.1258)
Ti (0.4103, 0.7500, 0.6258)
Ti (0.5897, 0.2500, 0.3742)
Ti (0.9103, 0.7500, 0.8742)
Mn (0.0713, 0.2500, 0.6278)
Mn (0.4287, 0.7500, 0.1278)
Mn (0.5713, 0.2500, 0.8722)
Mn (0.9287, 0.7500, 0.3722)
N (0.0756, 0.7500, 0.6316)
N (0.0825, 0.7500, 0.1173)
N (0.4175, 0.2500, 0.6173)
N (0.4244, 0.2500, 0.1316)
N (0.5756, 0.7500, 0.8684)
N (0.5825, 0.7500, 0.3827)
N (0.9175, 0.2500, 0.8827)
N (0.9244, 0.2500, 0.3684)

Most intense lines, 2θ = 5–70°, in order of rising 2θ:
29.21 deg, d 3.057, I 83
29.80 deg, d 2.998, I 50
36.59 deg, d 2.456, I 100
37.07 deg, d 2.425, I 44
43.91 deg, d 2.062, I 53
51.43 deg, d 1.777, I 31
52.53 deg, d 1.742, I 56
53.61 deg, d 1.709, I 25
53.97 deg, d 1.699, I 15
60.58 deg, d 1.528, I 11
65.08 deg, d 1.433, I 17
69.88 deg, d 1.346, I 21

No. 2
Computed powder diffraction line list
Compound: Zn2Cr3GaSe8
Radiation: Cu Kα, 1.54184 Å
Structure: a crystal structure in the Materials Project, relaxed with GGA-PBE
No peak broadening, texture or thermal motion is included.

Structural model:
Unit cell a=7.5427 b=7.5427 c=7.5427 alpha=59.91 beta=59.91 gamma=59.91
Atoms (fractional coordinates):
Zn (0.1245, 0.1245, 0.1245)
Zn (0.8755, 0.8755, 0.8755)
Cr (0.0000, 0.5000, 0.5000)
Cr (0.5000, 0.0000, 0.5000)
Cr (0.5000, 0.5000, 0.0000)
Ga (0.5000, 0.5000, 0.5000)
Se (0.2566, 0.2566, 0.7203)
Se (0.2566, 0.7203, 0.2566)
Se (0.2605, 0.2605, 0.2605)
Se (0.2797, 0.7434, 0.7434)
Se (0.7203, 0.2566, 0.2566)
Se (0.7395, 0.7395, 0.7395)
Se (0.7434, 0.2797, 0.7434)
Se (0.7434, 0.7434, 0.2797)

Most intense lines, 2θ = 5–70°, in order of rising 2θ:
14.39 deg, d 6.154, I 10
23.61 deg, d 3.768, I 18
27.76 deg, d 3.214, I 40
29.02 deg, d 3.077, I 44
33.63 deg, d 2.665, I 76
41.50 deg, d 2.176, I 6
44.15 deg, d 2.051, I 35
48.30 deg, d 1.884, I 100
56.60 deg, d 1.626, I 4
57.34 deg, d 1.607, I 16
60.17 deg, d 1.538, I 12
67.52 deg, d 1.387, I 7

No. 3
Computed powder diffraction line list
Compound: PmCdHg2
Radiation: Cu Kα, 1.54184 Å
Structure: a crystal structure in the Materials Project, relaxed with GGA-PBE
No peak broadening, texture or thermal motion is included.

Structural model:
Unit cell a=5.1804 b=5.1804 c=5.1804 alpha=60.00 beta=60.00 gamma=60.00
Atoms (fractional coordinates):
Pm (0.0000, 0.0000, 0.0000)
Cd (0.5000, 0.5000, 0.5000)
Hg (0.2500, 0.2500, 0.2500)
Hg (0.7500, 0.7500, 0.7500)

Most intense lines, 2θ = 5–70°, in order of rising 2θ:
21.00 deg, d 4.230, I 1
24.30 deg, d 3.663, I 5
34.63 deg, d 2.590, I 100
42.76 deg, d 2.115, I 2
49.78 deg, d 1.832, I 18
56.15 deg, d 1.638, I 2
62.06 deg, d 1.495, I 37

No. 4
Computed powder diffraction line list
Compound: TeIr
Radiation: Cu Kα, 1.54184 Å
Structure: a crystal structure in the Materials Project, relaxed with GGA-PBE
No peak broadening, texture or thermal motion is included.

Structural model:
Unit cell a=4.1114 b=4.1114 c=5.6641 alpha=90.00 beta=90.00 gamma=120.00
Atoms (fractional coordinates):
Te (0.3333, 0.6667, 0.2500)
Te (0.6667, 0.3333, 0.7500)
Ir (0.0000, 0.0000, 0.0000)
Ir (0.0000, 0.0000, 0.5000)

Most intense lines, 2θ = 5–70°, in order of rising 2θ:
25.01 deg, d 3.561, I 45
29.63 deg, d 3.014, I 43
31.59 deg, d 2.832, I 2
40.71 deg, d 2.216, I 100
44.05 deg, d 2.056, I 62
51.32 deg, d 1.780, I 7
53.99 deg, d 1.698, I 8
55.05 deg, d 1.668, I 7
55.21 deg, d 1.664, I 3
61.53 deg, d 1.507, I 30
65.97 deg, d 1.416, I 6
69.90 deg, d 1.346, I 5

No. 5
Computed powder diffraction line list
Compound: ZrMnNi
Radiation: Cu Kα, 1.54184 Å
Structure: a crystal structure in the Materials Project, relaxed with GGA-PBE
No peak broadening, texture or thermal motion is included.

Structural model:
Unit cell a=8.0550 b=5.0039 c=5.0039 alpha=58.19 beta=90.00 gamma=90.00
Atoms (fractional coordinates):
Zr (0.1881, 0.0000, 0.0000)
Zr (0.3105, 0.6710, 0.6710)
Zr (0.6895, 0.6710, 0.6710)
Zr (0.8119, 0.0000, 0.0000)
Mn (0.0000, 0.0017, 0.5073)
Mn (0.0000, 0.5073, 0.0017)
Mn (0.2444, 0.3306, 0.3306)
Mn (0.7556, 0.3306, 0.3306)
Ni (0.0000, 0.5066, 0.5066)
Ni (0.5000, 0.1675, 0.6670)
Ni (0.5000, 0.1695, 0.1695)
Ni (0.5000, 0.6670, 0.1675)

Most intense lines, 2θ = 5–70°, in order of rising 2θ:
35.91 deg, d 2.501, I 35
36.94 deg, d 2.433, I 18
39.38 deg, d 2.288, I 33
39.70 deg, d 2.270, I 70
42.55 deg, d 2.125, I 100
42.86 deg, d 2.110, I 34
43.45 deg, d 2.083, I 38
44.05 deg, d 2.056, I 60
45.02 deg, d 2.014, I 18
66.65 deg, d 1.403, I 14
67.32 deg, d 1.391, I 12
68.43 deg, d 1.371, I 22

No. 6
Computed powder diffraction line list
Compound: Sr10P6SO24
Radiation: Cu Kα, 1.54184 Å
Structure: a crystal structure in the Materials Project, relaxed with GGA-PBE
No peak broadening, texture or thermal motion is included.

Structural model:
Unit cell a=9.9314 b=9.9314 c=7.2864 alpha=90.00 beta=90.00 gamma=120.00
Atoms (fractional coordinates):
Sr (0.0114, 0.2572, 0.2592)
Sr (0.2458, 0.9886, 0.2592)
Sr (0.2572, 0.2458, 0.7408)
Sr (0.3333, 0.6667, 0.0209)
Sr (0.3333, 0.6667, 0.5188)
Sr (0.6667, 0.3333, 0.4812)
Sr (0.6667, 0.3333, 0.9791)
Sr (0.7428, 0.7542, 0.2592)
Sr (0.7542, 0.0114, 0.7408)
Sr (0.9886, 0.7428, 0.7408)
P (0.0289, 0.3980, 0.7530)
P (0.3690, 0.9711, 0.7530)
P (0.3980, 0.3690, 0.2470)
P (0.6020, 0.6310, 0.7530)
P (0.6310, 0.0289, 0.2470)
P (0.9711, 0.6020, 0.2470)
S (0.0000, 0.0000, 0.5000)
O (0.0649, 0.3099, 0.9047)
O (0.0992, 0.3811, 0.5695)
O (0.1124, 0.5761, 0.7949)
O (0.1503, 0.6711, 0.2608)
O (0.2450, 0.9351, 0.9047)
O (0.2819, 0.9008, 0.5695)
O (0.3099, 0.2450, 0.0953)
O (0.3289, 0.4792, 0.2608)
O (0.3811, 0.2819, 0.4305)
O (0.4239, 0.5363, 0.7949)
O (0.4637, 0.8876, 0.7949)
O (0.4792, 0.1503, 0.7392)
O (0.5208, 0.8497, 0.2608)
O (0.5363, 0.1124, 0.2051)
O (0.5761, 0.4637, 0.2051)
O (0.6189, 0.7181, 0.5695)
O (0.6711, 0.5208, 0.7392)
O (0.6901, 0.7550, 0.9047)
O (0.7181, 0.0992, 0.4305)
O (0.7550, 0.0649, 0.0953)
O (0.8497, 0.3289, 0.7392)
O (0.8876, 0.4239, 0.2051)
O (0.9008, 0.6189, 0.4305)
O (0.9351, 0.6901, 0.0953)

Most intense lines, 2θ = 5–70°, in order of rising 2θ:
20.65 deg, d 4.300, I 19
26.57 deg, d 3.355, I 17
27.44 deg, d 3.251, I 31
30.10 deg, d 2.969, I 100
30.43 deg, d 2.937, I 94
31.20 deg, d 2.867, I 58
44.14 deg, d 2.052, I 38
45.45 deg, d 1.996, I 17
46.68 deg, d 1.946, I 34
47.75 deg, d 1.905, I 23
48.50 deg, d 1.877, I 22
49.21 deg, d 1.852, I 24

No. 7
Computed powder diffraction line list
Compound: TiN
Radiation: Cu Kα, 1.54184 Å
Structure: a crystal structure in the Materials Project, relaxed with GGA-PBE
No peak broadening, texture or thermal motion is included.

Structural model:
Unit cell a=61.3318 b=61.3318 c=61.3318 alpha=2.81 beta=2.81 gamma=2.81
Atoms (fractional coordinates):
Ti (0.0000, 0.0000, 0.0000)
Ti (0.0395, 0.0395, 0.0395)
Ti (0.0796, 0.0796, 0.0796)
Ti (0.1196, 0.1196, 0.1196)
Ti (0.1596, 0.1596, 0.1596)
Ti (0.1996, 0.1996, 0.1996)
Ti (0.2396, 0.2396, 0.2396)
Ti (0.2809, 0.2809, 0.2809)
Ti (0.3597, 0.3597, 0.3597)
Ti (0.3996, 0.3996, 0.3996)
Ti (0.4396, 0.4396, 0.4396)
Ti (0.4796, 0.4796, 0.4796)
Ti (0.5196, 0.5196, 0.5196)
Ti (0.5596, 0.5596, 0.5596)
Ti (0.5997, 0.5997, 0.5997)
Ti (0.6794, 0.6794, 0.6794)
Ti (0.7196, 0.7196, 0.7196)
Ti (0.7596, 0.7596, 0.7596)
Ti (0.7996, 0.7996, 0.7996)
Ti (0.8396, 0.8396, 0.8396)
Ti (0.8796, 0.8796, 0.8796)
Ti (0.9196, 0.9196, 0.9196)
N (0.0196, 0.0196, 0.0196)
N (0.0596, 0.0596, 0.0596)
N (0.0996, 0.0996, 0.0996)
N (0.1396, 0.1396, 0.1396)
N (0.1796, 0.1796, 0.1796)
N (0.2196, 0.2196, 0.2196)
N (0.2596, 0.2596, 0.2596)
N (0.3393, 0.3393, 0.3393)
N (0.3796, 0.3796, 0.3796)
N (0.4196, 0.4196, 0.4196)
N (0.4596, 0.4596, 0.4596)
N (0.4996, 0.4996, 0.4996)
N (0.5396, 0.5396, 0.5396)
N (0.5796, 0.5796, 0.5796)
N (0.6185, 0.6185, 0.6185)
N (0.6996, 0.6996, 0.6996)
N (0.7396, 0.7396, 0.7396)
N (0.7796, 0.7796, 0.7796)
N (0.8196, 0.8196, 0.8196)
N (0.8596, 0.8596, 0.8596)
N (0.8996, 0.8996, 0.8996)
N (0.9393, 0.9393, 0.9393)

Most intense lines, 2θ = 5–70°, in order of rising 2θ:
5.77 deg, d 15.327, I 39
7.21 deg, d 12.261, I 15
8.65 deg, d 10.218, I 5
10.10 deg, d 8.758, I 1
36.59 deg, d 2.456, I 67
40.01 deg, d 2.254, I 2
40.80 deg, d 2.212, I 2
41.63 deg, d 2.169, I 2
42.51 deg, d 2.127, I 100
43.42 deg, d 2.084, I 2
44.37 deg, d 2.042, I 1
61.68 deg, d 1.504, I 57

No. 8
Computed powder diffraction line list
Compound: Tb3Sc
Radiation: Cu Kα, 1.54184 Å
Structure: a crystal structure in the Materials Project, relaxed with GGA-PBE
No peak broadening, texture or thermal motion is included.

Structural model:
Unit cell a=6.0400 b=6.0400 c=6.0400 alpha=131.60 beta=131.60 gamma=70.85
Atoms (fractional coordinates):
Tb (0.0000, 0.0000, 0.0000)
Tb (0.2500, 0.7500, 0.5000)
Tb (0.7500, 0.2500, 0.5000)
Sc (0.5000, 0.5000, 0.0000)

Most intense lines, 2θ = 5–70°, in order of rising 2θ:
18.02 deg, d 4.922, I 4
20.07 deg, d 4.423, I 14
31.35 deg, d 2.853, I 100
32.74 deg, d 2.735, I 4
36.29 deg, d 2.476, I 34
36.51 deg, d 2.461, I 17
41.81 deg, d 2.160, I 4
52.26 deg, d 1.751, I 12
52.43 deg, d 1.745, I 23
62.22 deg, d 1.492, I 28
62.52 deg, d 1.486, I 14
65.43 deg, d 1.426, I 12

No. 9
Computed powder diffraction line list
Compound: Cr3Rh3S8
Radiation: Cu Kα, 1.54184 Å
Structure: a crystal structure in the Materials Project, relaxed with GGA-PBE
No peak broadening, texture or thermal motion is included.

Structural model:
Unit cell a=6.0817 b=6.4019 c=6.8967 alpha=105.02 beta=90.31 gamma=116.13
Atoms (fractional coordinates):
Cr (0.0000, 0.0000, 0.0000)
Cr (0.2855, 0.5246, 0.6333)
Cr (0.7145, 0.4754, 0.3667)
Rh (0.0000, 0.0000, 0.5000)
Rh (0.2840, 0.5304, 0.1381)
Rh (0.7160, 0.4696, 0.8619)
S (0.0234, 0.7317, 0.1814)
S (0.0238, 0.7321, 0.6859)
S (0.4474, 0.2431, 0.5558)
S (0.4506, 0.2442, 0.0620)
S (0.5494, 0.7558, 0.9380)
S (0.5526, 0.7569, 0.4442)
S (0.9762, 0.2679, 0.3141)
S (0.9766, 0.2683, 0.8186)

Most intense lines, 2θ = 5–70°, in order of rising 2θ:
16.12 deg, d 5.498, I 57
16.94 deg, d 5.234, I 57
29.39 deg, d 3.039, I 55
29.72 deg, d 3.006, I 53
29.87 deg, d 2.992, I 54
33.77 deg, d 2.654, I 88
34.26 deg, d 2.617, I 47
44.14 deg, d 2.052, I 49
44.40 deg, d 2.040, I 54
44.93 deg, d 2.018, I 48
45.36 deg, d 1.999, I 100
52.24 deg, d 1.751, I 46

No. 10
Computed powder diffraction line list
Compound: HoLuCu2
Radiation: Cu Kα, 1.54184 Å
Structure: a crystal structure in the Materials Project, relaxed with GGA-PBE
No peak broadening, texture or thermal motion is included.

Structural model:
Unit cell a=4.8381 b=4.8381 c=4.8381 alpha=60.00 beta=60.00 gamma=60.00
Atoms (fractional coordinates):
Ho (0.0000, 0.0000, 0.0000)
Lu (0.5000, 0.5000, 0.5000)
Cu (0.2500, 0.2500, 0.2500)
Cu (0.7500, 0.7500, 0.7500)

Most intense lines, 2θ = 5–70°, in order of rising 2θ:
26.05 deg, d 3.421, I 21
37.17 deg, d 2.419, I 100
45.95 deg, d 1.975, I 7
53.58 deg, d 1.711, I 17
60.51 deg, d 1.530, I 9
67.01 deg, d 1.397, I 35